1.
Diffraction record for CaGa2Cu3Ru2O12. The PXRD pattern is simulated, not measured: it uses the PBE geometry in the Materials Project and Cu Kα (λ = 1.5418 Å).

Most intense lines, 2θ = 10–80°, by angle:
index	two_theta	intensity
1 1 1	20.6	3
2 0 0	23.8	7
2 1 1	29.2	2
2 2 0	33.9	100
3 0 1	38.0	4
3 1 2	45.4	2
4 0 0	48.7	25
4 0 2	54.9	4
4 2 2	60.7	48
4 4 0	71.3	12

Structural model:
Lattice parameters (Å, degrees): 7.4796 7.4796 7.4796 90.00 90.00 90.00
Space group Pn-3 (No. 201, origin choice 2)
Unique sites:
Ca (0.2500, 0.2500, 0.2500)
Ga (0.0000, 0.0000, 0.0000)
Cu (0.2500, 0.2500, 0.7500)
Ru (0.0000, 0.0000, 0.5000)
O (0.0569, 0.7491, 0.9237)


2.
Diffraction record for KSO2F. The PXRD pattern is simulated, not measured: it uses the PBE geometry in the Materials Project and Cu Kα (λ = 1.5418 Å).

Most intense lines, 2θ = 10–80°, by angle:
index	two_theta	intensity
1 1 0	24.9	27
1 1 -1	25.2	100
0 0 2	25.9	58
0 1 2	30.1	49
0 2 0	30.4	21
1 1 1	30.7	14
1 1 -2	31.6	33
2 0 -1	38.2	31
1 2 1	40.9	40
1 2 -2	41.6	21

Structural model:
Lattice parameters (Å, degrees): 4.7183 5.8790 7.1914 90.00 107.07 90.00
Space group P2_1 (No. 4)
Unique sites:
K (0.1552, 0.0000, 0.2891)
S (0.4441, 0.9754, 0.8377)
O (0.2315, 0.5027, 0.1203)
O (0.3277, 0.7933, 0.6921)
F (0.3245, 0.2246, 0.6813)


3.
Diffraction record for AgAu. The PXRD pattern is simulated, not measured: it uses the PBE geometry in the Materials Project and Cu Kα (λ = 1.5418 Å).

Most intense lines, 2θ = 10–80°, by angle:
index	two_theta	intensity
0 0 1	18.4	11
1 0 0	35.3	28
0 0 2	37.2	27
1 0 1	40.1	100
1 0 2	52.2	19
1 1 0	63.3	17
1 0 3	69.1	20
2 0 0	74.6	3
1 1 2	75.8	20
2 0 1	77.6	14

Structural model:
Lattice parameters (Å, degrees): 2.9376 2.9376 4.8283 90.00 90.00 120.00
Space group P-6m2 (No. 187)
Unique sites:
Ag (0.0000, 0.0000, 0.0000)
Au (0.6667, 0.3333, 0.5000)


4.
Diffraction record for LiSm3BiRu4O14. The PXRD pattern is simulated, not measured: it uses the PBE geometry in the Materials Project and Cu Kα (λ = 1.5418 Å).

Most intense lines, 2θ = 10–80°, by angle:
index	two_theta	intensity
2 0 -1	14.7	6
0 0 2	29.6	100
4 0 0	34.3	34
0 4 0	49.2	31
6 2 -2	49.3	15
0 4 2	58.5	17
4 4 -2	58.5	21
4 4 0	61.4	8
4 4 -4	72.2	4
2 6 0	79.9	7

Structural model:
Lattice parameters (Å, degrees): 12.7883 7.4000 7.4052 90.00 125.20 90.00
Space group Cm (No. 8)
Unique sites:
Li (0.0000, 0.0000, 0.0000)
Sm (0.2314, 0.5000, 0.2523)
Sm (0.4865, 0.2435, 0.2850)
Bi (0.2256, 0.5000, 0.7594)
Ru (0.2403, 0.0000, 0.7636)
Ru (0.2413, 0.0000, 0.2733)
Ru (0.4840, 0.2456, 0.7587)
O (0.0701, 0.5000, 0.8452)
O (0.1076, 0.2072, 0.0996)
O (0.1133, 0.2114, 0.6827)
O (0.1132, 0.5000, 0.3849)
O (0.1557, 0.0000, 0.4335)
O (0.3241, 0.0000, 0.1026)
O (0.3598, 0.1991, 0.8306)
O (0.3606, 0.2105, 0.4288)
O (0.3694, 0.5000, 0.1382)
O (0.4121, 0.5000, 0.6892)